Theoretical powder diffraction line list of Li2CoNiF8 for Cu Kα X-rays, from a cell relaxed with GGA+U.
Neutral-atom scattering factors, no anomalous dispersion.

abc: 6.3843 6.7501 6.0838
angles: 90.00 90.00 90.00
Space group Cmmm (No. 65)
Symmetry-distinct sites (fractional):
Li  0.0000  0.0000  0.2460 x4
Co  0.0000  0.5000  0.5000 x2
Ni  0.0000  0.5000  0.0000 x2
F  0.0000  0.3116  0.2464 x8
F  0.2099  0.0000  0.0000 x4
F  0.2120  0.0000  0.5000 x4

Largest 10 diffraction maxima, sorted by position, 2θ from 10° to 90°:
hkl, 2θ/deg, I_rel
1 1 0, 19.13, 100
0 2 0, 26.41, 36
2 0 0, 27.95, 26
0 0 2, 29.36, 14
1 1 2, 35.28, 20
0 2 2, 39.90, 56
3 1 0, 44.65, 24
1 3 2, 52.58, 26
0 4 0, 54.35, 25
3 3 2, 68.02, 19